Record 1
For Rb2O, the GGA-PBE geometry in the Materials Project gives the computed X-ray powder pattern in this record (λ = 1.5418 Å (Cu Kα)).

Crystal structure
```
data_Rb2O
_chemical_formula_sum 'Rb6 O3'
_symmetry_space_group_name_H-M 'P 3'
_symmetry_Int_Tables_number 143
_symmetry_space_group_name_Hall 'P 3'
_cell_length_a 7.3928
_cell_length_b 7.3928
_cell_length_c 6.6122
_cell_angle_alpha 90.00
_cell_angle_beta 90.00
_cell_angle_gamma 120.00
loop_
_atom_site_label
_atom_site_type_symbol
_atom_site_fract_x
_atom_site_fract_y
_atom_site_fract_z
Rb1 Rb 0.0014 0.3259 0.0000
Rb2 Rb 0.3403 0.3396 0.3986
O1 O 0.0000 0.0000 0.2209
O2 O 0.3333 0.6667 0.1921
O3 O 0.6667 0.3333 0.1831
```

Principal peaks in the range 2θ from 15° to 90°, by intensity:
Position (°2θ), d [Å], I (rel.)
27.65, 3.226, 100
36.46, 2.464, 36
42.35, 2.134, 27
51.33, 1.780, 17
24.08, 3.696, 16
48.06, 1.893, 15
68.66, 1.367, 14
50.93, 1.793, 13
26.97, 3.306, 13
61.44, 1.509, 10

---

Record 2
For Mg5Ti, the GGA-PBE geometry in the Materials Project gives the computed X-ray powder pattern in this record (λ = 1.5418 Å (Cu Kα)).

Crystal structure
```
data_Mg5Ti
_chemical_formula_sum 'Mg5 Ti1'
_symmetry_space_group_name_H-M 'P -6 m 2'
_symmetry_Int_Tables_number 187
_symmetry_space_group_name_Hall 'P -6 2'
_cell_length_a 3.0961
_cell_length_b 3.0961
_cell_length_c 15.4349
_cell_angle_alpha 90.00
_cell_angle_beta 90.00
_cell_angle_gamma 120.00
loop_
_atom_site_label
_atom_site_type_symbol
_atom_site_fract_x
_atom_site_fract_y
_atom_site_fract_z
Mg1 Mg 0.0000 0.0000 0.0000
Mg2 Mg 0.0000 0.0000 0.3371
Mg3 Mg 0.3333 0.6667 0.1670
Ti1 Ti 0.3333 0.6667 0.5000
```

Principal peaks in the range 2θ from 15° to 90°, by intensity:
Position (°2θ), d [Å], I (rel.)
37.84, 2.378, 100
34.88, 2.572, 28
33.42, 2.681, 25
64.50, 1.445, 19
71.07, 1.326, 18
59.74, 1.548, 16
49.08, 1.856, 16
72.92, 1.297, 13
80.85, 1.189, 3
83.33, 1.160, 3

---

Record 3
For Te2Ir, the GGA-PBE geometry in the Materials Project gives the computed X-ray powder pattern in this record (λ = 1.5418 Å (Cu Kα)).

Crystal structure
```
data_Te2Ir
_chemical_formula_sum 'Te4 Ir2'
_symmetry_space_group_name_H-M 'P 42/m n m'
_symmetry_Int_Tables_number 136
_symmetry_space_group_name_Hall '-P 4n 2n'
_cell_length_a 6.130
_cell_length_b 6.130
_cell_length_c 4.205
_cell_angle_alpha 90.00
_cell_angle_beta 90.00
_cell_angle_gamma 90.00
loop_
_atom_site_label
_atom_site_type_symbol
_atom_site_fract_x
_atom_site_fract_y
_atom_site_fract_z
Te1 Te 0.193 0.193 0.000
Ir1 Ir 0.000 0.000 0.500
```

Principal peaks in the range 2θ from 15° to 90°, by intensity:
Position (°2θ), d [Å], I (rel.)
39.23, 2.297, 100
20.49, 4.335, 97
29.60, 3.018, 78
49.60, 1.838, 65
41.67, 2.167, 35
32.66, 2.742, 30
43.02, 2.103, 28
25.69, 3.468, 24
61.44, 1.509, 22
89.11, 1.099, 21

---

Record 4
For Bi6As4PbO20, the GGA-PBE geometry in the Materials Project gives the computed X-ray powder pattern in this record (λ = 1.5418 Å (Cu Kα)).

Crystal structure
```
data_Bi6As4PbO20
_chemical_formula_sum 'Bi6 As4 Pb1 O20'
_symmetry_space_group_name_H-M 'P -1'
_symmetry_Int_Tables_number 2
_symmetry_space_group_name_Hall '-P 1'
_cell_length_a 7.201
_cell_length_b 7.994
_cell_length_c 9.507
_cell_angle_alpha 106.76
_cell_angle_beta 93.78
_cell_angle_gamma 111.98
loop_
_atom_site_label
_atom_site_type_symbol
_atom_site_fract_x
_atom_site_fract_y
_atom_site_fract_z
Bi1 Bi 0.060 0.201 0.415
Bi2 Bi 0.164 0.878 0.985
Bi3 Bi 0.302 0.293 0.824
As1 As 0.151 0.598 0.243
As2 As 0.453 0.727 0.741
Pb1 Pb 0.500 0.000 0.500
O1 O 0.040 0.387 0.867
O2 O 0.052 0.029 0.864
O3 O 0.128 0.366 0.190
O4 O 0.148 0.682 0.431
O5 O 0.167 0.093 0.601
O6 O 0.272 0.823 0.745
O7 O 0.349 0.480 0.663
O8 O 0.369 0.169 0.356
O9 O 0.383 0.749 0.220
O10 O 0.438 0.200 0.072
```

Principal peaks in the range 2θ from 15° to 90°, by intensity:
Position (°2θ), d [Å], I (rel.)
26.41, 3.375, 100
26.68, 3.341, 68
27.11, 3.289, 68
31.72, 2.821, 53
31.26, 2.861, 47
30.88, 2.896, 36
35.24, 2.547, 25
44.49, 2.036, 23
26.27, 3.392, 22
47.49, 1.915, 21

---

Record 5
For YMg2, the GGA-PBE geometry in the Materials Project gives the computed X-ray powder pattern in this record (λ = 1.5418 Å (Cu Kα)).

Crystal structure
```
data_YMg2
_chemical_formula_sum 'Y4 Mg8'
_symmetry_space_group_name_H-M 'C m c m'
_symmetry_Int_Tables_number 63
_symmetry_space_group_name_Hall '-C 2c 2'
_cell_length_a 10.024
_cell_length_b 5.775
_cell_length_c 5.443
_cell_angle_alpha 90.00
_cell_angle_beta 90.00
_cell_angle_gamma 90.00
loop_
_atom_site_label
_atom_site_type_symbol
_atom_site_fract_x
_atom_site_fract_y
_atom_site_fract_z
Y1 Y 0.000 0.183 0.250
Mg1 Mg 0.168 0.335 0.750
```

Principal peaks in the range 2θ from 15° to 90°, by intensity:
Position (°2θ), d [Å], I (rel.)
35.15, 2.553, 100
24.16, 3.684, 44
17.70, 5.010, 33
32.91, 2.721, 27
30.94, 2.890, 24
60.22, 1.537, 20
65.63, 1.423, 20
55.03, 1.669, 17
45.80, 1.981, 16
37.61, 2.391, 10

---

Record 6
For NaBiS2, the GGA-PBE geometry in the Materials Project gives the computed X-ray powder pattern in this record (λ = 1.5418 Å (Cu Kα)).

Crystal structure
```
data_NaBiS2
_chemical_formula_sum 'Na3 Bi3 S6'
_symmetry_space_group_name_H-M 'R -3 m'
_symmetry_Int_Tables_number 166
_symmetry_space_group_name_Hall '-R 3 2"'
_cell_length_a 4.0685
_cell_length_b 4.0685
_cell_length_c 20.3986
_cell_angle_alpha 90.00
_cell_angle_beta 90.00
_cell_angle_gamma 120.00
loop_
_atom_site_label
_atom_site_type_symbol
_atom_site_fract_x
_atom_site_fract_y
_atom_site_fract_z
Na1 Na 0.0000 0.0000 0.0000
Bi1 Bi 0.0000 0.0000 0.5000
S1 S 0.0000 0.0000 0.2460
```

Principal peaks in the range 2θ from 15° to 90°, by intensity:
Position (°2θ), d [Å], I (rel.)
30.85, 2.899, 100
25.66, 3.472, 57
26.77, 3.330, 42
43.83, 2.066, 37
44.54, 2.034, 36
33.61, 2.667, 27
46.60, 1.949, 26
40.16, 2.246, 21
55.16, 1.665, 19
72.46, 1.304, 17

---

Record 7
For UMnCo, the GGA-PBE geometry in the Materials Project gives the computed X-ray powder pattern in this record (λ = 1.5418 Å (Cu Kα)).

Crystal structure
```
data_UMnCo
_chemical_formula_sum 'U4 Mn4 Co4'
_symmetry_space_group_name_H-M 'I m m a'
_symmetry_Int_Tables_number 74
_symmetry_space_group_name_Hall '-I 2b 2'
_cell_length_a 4.918
_cell_length_b 4.961
_cell_length_c 7.004
_cell_angle_alpha 90.00
_cell_angle_beta 90.00
_cell_angle_gamma 90.00
loop_
_atom_site_label
_atom_site_type_symbol
_atom_site_fract_x
_atom_site_fract_y
_atom_site_fract_z
U1 U 0.000 0.250 0.123
Mn1 Mn 0.250 0.250 0.750
Co1 Co 0.000 0.000 0.500
```

Principal peaks in the range 2θ from 15° to 90°, by intensity:
Position (°2θ), d [Å], I (rel.)
42.83, 2.111, 100
36.33, 2.473, 83
43.04, 2.102, 46
21.96, 4.048, 28
22.09, 4.025, 26
65.21, 1.431, 24
36.54, 2.459, 22
77.14, 1.236, 21
36.21, 2.481, 20
70.12, 1.342, 18